The following is a calculated X-ray diffraction stick pattern of ZrIn2Cl6. It was derived from a cell relaxed with PBE, using Cu Kα X-rays.
Neutral-atom scattering factors, no anomalous dispersion.

The 10 most intense peaks (10 to 80 degrees two-theta), in order of rising 2θ:
h k l	Position (°2θ)	intensity
0 0 1	14.1	100
0 2 0	24.5	68
3 1 -1	28.3	37
0 2 1	28.3	28
3 1 1	28.5	31
2 2 -1	31.7	77
2 2 1	31.9	46
4 0 1	32.0	49
2 2 -2	40.4	45
6 2 0	50.2	27

Crystal structure
```
data_ZrIn2Cl6
_symmetry_space_group_name_H-M 'C 1 2/m 1'
_symmetry_Int_Tables_number 12
_symmetry_space_group_name_Hall '-C 2y'
_cell_length_a 12.577
_cell_length_b 7.284
_cell_length_c 6.271
_cell_angle_alpha 90.00
_cell_angle_beta 90.80
_cell_angle_gamma 90.00
loop_
_atom_site_label
_atom_site_fract_x
_atom_site_fract_y
_atom_site_fract_z
Zr1 0.000 0.000 0.000
In1 0.169 0.500 0.146
Cl1 0.081 0.245 0.777
Cl2 0.164 0.000 0.227
```

---

The following is a calculated X-ray diffraction stick pattern of Li2HoTeO4. It was derived from a cell relaxed with PBE, using Cu Kα X-rays.
Neutral-atom scattering factors, no anomalous dispersion.

The 10 most intense peaks (10 to 80 degrees two-theta), in order of rising 2θ:
h k l	Position (°2θ)	intensity
1 0 1	21.3	100
1 1 2	33.2	43
1 0 3	34.8	27
2 0 0	38.4	36
0 0 4	38.9	17
2 1 1	44.3	29
2 1 3	52.8	17
2 2 0	55.5	12
2 0 4	55.8	23
3 1 2	66.2	14

Crystal structure
```
data_Li2HoTeO4
_symmetry_space_group_name_H-M 'I -4 m 2'
_symmetry_Int_Tables_number 119
_symmetry_space_group_name_Hall 'I -4 -2'
_cell_length_a 4.686
_cell_length_b 4.686
_cell_length_c 9.260
_cell_angle_alpha 90.00
_cell_angle_beta 90.00
_cell_angle_gamma 90.00
loop_
_atom_site_label
_atom_site_fract_x
_atom_site_fract_y
_atom_site_fract_z
Li1 0.000 0.000 0.000
Li2 0.000 0.500 0.250
Ho1 0.000 0.500 0.750
Te1 0.000 0.000 0.500
O1 0.000 0.000 0.255
O2 0.000 0.500 0.506
```

---

The following is a calculated X-ray diffraction stick pattern of Cs2UGaS5. It was derived from a cell relaxed with PBE, using Cu Kα X-rays.
Neutral-atom scattering factors, no anomalous dispersion.

The 10 most intense peaks (10 to 80 degrees two-theta), in order of rising 2θ:
h k l	Position (°2θ)	intensity
0 2 1	10.7	24
0 2 2	14.8	46
0 2 3	20.0	67
1 3 0	25.7	27
1 3 1	26.4	30
0 6 1	27.5	41
1 1 3	28.7	100
1 5 2	33.7	36
0 8 2	38.1	23
1 5 4	39.8	20

Crystal structure
```
data_Cs2UGaS5
_symmetry_space_group_name_H-M 'C m c 21'
_symmetry_Int_Tables_number 36
_symmetry_space_group_name_Hall 'C 2c -2'
_cell_length_a 4.066
_cell_length_b 19.923
_cell_length_c 14.919
_cell_angle_alpha 90.00
_cell_angle_beta 90.00
_cell_angle_gamma 90.00
loop_
_atom_site_label
_atom_site_fract_x
_atom_site_fract_y
_atom_site_fract_z
Cs1 0.000 0.116 0.000
Cs2 0.000 0.127 0.643
U1 0.000 0.199 0.342
Ga1 0.000 0.430 0.744
S1 0.000 0.063 0.337
S2 0.000 0.301 0.955
S3 0.000 0.312 0.720
S4 0.000 0.321 0.325
S5 0.000 0.490 0.624
```